Record 1
For Te4Mo3WSe2S2, a cell relaxed with PBE gives the simulated X-ray powder pattern in this record (Cu Kα X-rays).

Atomic structure:
```
Te4Mo3WSe2S2
1.0
3.396 0.000 0.000
-1.698 2.941 0.000
0.000 0.000 45.676
Te Mo W Se S
4 3 1 2 2
direct
0.000 0.000 0.000
0.000 0.000 0.082
0.333 0.667 0.802
0.333 0.667 0.884
0.000 0.000 0.472
0.000 0.000 0.843
0.333 0.667 0.041
0.333 0.667 0.660
0.333 0.667 0.436
0.333 0.667 0.508
0.000 0.000 0.627
0.000 0.000 0.693
```

The 12 most intense peaks (5° ≤ 2θ ≤ 70°), in order of rising 2θ:
| hkl | 2θ/deg | Rel. int. |
| --- | --- | --- |
| 0 0 3 | 5.80 | 34 |
| 0 0 5 | 9.68 | 100 |
| 0 0 6 | 11.62 | 20 |
| 1 0 0 | 30.41 | 28 |
| 0 1 5 | 31.97 | 10 |
| 0 1 8 | 34.30 | 28 |
| 1 0 11 | 37.47 | 8 |
| 0 1 13 | 39.97 | 39 |
| 0 1 14 | 41.33 | 12 |
| 1 1 0 | 54.01 | 18 |
| 1 1 5 | 55.00 | 8 |
| 2 0 13 | 69.26 | 8 |


Record 2
For K9BiP4S16, a cell relaxed with PBE gives the simulated X-ray powder pattern in this record (Cu Kα X-rays).

Atomic structure:
```
K9BiP4S16
1.0
9.093 0.000 0.000
0.000 18.608 0.000
0.000 0.000 9.796
K Bi P S
18 2 8 32
direct
0.000 0.000 0.232
0.003 0.249 0.754
0.020 0.232 0.238
0.129 0.415 0.517
0.143 0.576 0.002
0.357 0.076 0.998
0.371 0.915 0.483
0.480 0.732 0.762
0.497 0.749 0.246
0.500 0.500 0.768
0.503 0.251 0.246
0.520 0.268 0.762
0.629 0.085 0.483
0.643 0.924 0.998
0.857 0.424 0.002
0.871 0.585 0.517
0.980 0.768 0.238
0.997 0.751 0.754
0.000 0.000 0.723
0.500 0.500 0.277
0.209 0.122 0.509
0.229 0.865 0.978
0.271 0.365 0.022
0.291 0.622 0.491
0.709 0.378 0.491
0.729 0.635 0.022
0.771 0.135 0.978
0.791 0.878 0.509
0.010 0.896 0.944
0.019 0.891 0.517
0.147 0.397 0.184
0.193 0.414 0.849
0.204 0.582 0.666
0.214 0.558 0.332
0.232 0.755 0.002
0.238 0.728 0.473
0.262 0.228 0.527
0.268 0.255 0.998
0.286 0.058 0.668
0.296 0.082 0.334
0.307 0.914 0.151
0.353 0.897 0.816
0.481 0.391 0.483
0.490 0.396 0.056
0.510 0.604 0.056
0.519 0.609 0.483
0.647 0.103 0.816
0.693 0.086 0.151
0.704 0.918 0.334
0.714 0.942 0.668
0.732 0.745 0.998
0.738 0.772 0.527
0.762 0.272 0.473
0.768 0.245 0.002
0.786 0.442 0.332
0.796 0.418 0.666
0.807 0.586 0.849
0.853 0.603 0.184
0.981 0.109 0.517
0.990 0.104 0.944
```

The 12 most intense peaks (5° ≤ 2θ ≤ 70°), in order of rising 2θ:
| hkl | 2θ/deg | Rel. int. |
| --- | --- | --- |
| 0 2 0 | 9.51 | 61 |
| 0 1 1 | 10.20 | 93 |
| 1 1 0 | 10.83 | 95 |
| 1 2 1 | 16.36 | 100 |
| 1 3 2 | 25.15 | 59 |
| 1 5 0 | 25.90 | 59 |
| 0 4 2 | 26.42 | 83 |
| 2 0 2 | 26.75 | 65 |
| 3 1 0 | 29.87 | 90 |
| 1 5 2 | 31.77 | 60 |
| 2 4 2 | 33.07 | 96 |
| 1 4 3 | 35.00 | 81 |